The following is a theoretical PXRD pattern of NaReNO. It was derived from a structure optimized by DFT (PBE), using λ = 1.5418 Å (Cu Kα).
Lines closer than 0.1° are merged.

Main lines, in order of rising 2θ (10° ≤ 2θ ≤ 90°):
(hkl)	2θ/deg	d_spacing	I (rel.)
0 1 0	15.9	5.582	100
0 1 1	22.5	3.958	53
1 0 0	24.7	3.600	46
1 1 0	29.5	3.025	67
0 0 2	31.9	2.806	43
1 1 1	33.7	2.663	43
0 2 1	35.9	2.499	60
1 1 2	44.1	2.055	76
1 3 1	58.2	1.586	29
2 2 1	63.7	1.461	33

Cell and atoms:
```
data_NaReNO
_cell_length_a 3.600
_cell_length_b 5.582
_cell_length_c 5.612
_cell_angle_alpha 90.00
_cell_angle_beta 90.00
_cell_angle_gamma 90.00
_space_group_name_H-M_alt 'P 1'
_space_group_IT_number 1
_space_group_name_Hall 'P 1'
loop_
_atom_site_label
_atom_site_fract_x
_atom_site_fract_y
_atom_site_fract_z
_atom_site_occupancy
Na1 0.000 0.124 0.000 1
Na2 0.000 0.876 0.500 1
Re1 0.500 0.395 0.546 1
Re2 0.500 0.605 0.046 1
N1 0.500 0.310 0.221 1
N2 0.500 0.690 0.721 1
O1 0.000 0.277 0.618 1
O2 0.000 0.723 0.118 1
```